Entry 1:
Simulated powder diffractogram of Hg2ClOF for Cu Kα X-rays, from a GGA-PBE-relaxed structure.
Neutral-atom scattering factors, no anomalous dispersion.

Structural model:
Cell lengths 6.0742, 12.3582, 5.9250 Å; angles 90.00, 90.00, 90.00 degrees
Space group Cmme (No. 67)
One atom of each set of equivalent atoms:
Hg 0.0000 0.0844 0.2213
Cl 0.0000 0.2500 0.4488
O 0.2500 0.0000 0.0000
F 0.2500 0.0000 0.5000

The 10 most intense peaks (2θ = 15–90°), by angle:
hkl, 2theta, I (rel.)
1 1 1, 22.16, 56.0
2 0 0, 29.41, 25.2
1 3 1, 30.23, 100.0
0 4 2, 42.30, 17.3
2 0 2, 42.63, 17.2
0 6 0, 43.96, 8.7
2 2 2, 45.21, 11.8
3 3 1, 52.69, 18.9
1 3 3, 53.63, 16.6
2 6 0, 53.78, 12.9

Entry 2:
Simulated powder diffractogram of Tl2Mo9S11 for Cu Kα X-rays, from a GGA-PBE-relaxed structure.
Neutral-atom scattering factors, no anomalous dispersion.

Structural model:
Cell lengths 9.3642, 9.3642, 35.5161 Å; angles 90.00, 90.00, 120.00 degrees
Space group R-3 (No. 148, hexagonal axes)
One atom of each set of equivalent atoms:
Tl 0.0000 0.0000 0.1677
Tl 0.0000 0.0000 0.2700
Mo 0.0110 0.1715 0.4692
Mo 0.0148 0.1725 0.5956
Mo 0.0148 0.1748 0.0328
S 0.0000 0.0000 0.0847
S 0.0000 0.0000 0.3527
S 0.0175 0.3812 0.6401
S 0.0178 0.3705 0.1987
S 0.0184 0.3786 0.0776

The 10 most intense peaks (2θ = 15–90°), by angle:
hkl, 2theta, I (rel.)
1 1 0, 18.95, 77.2
1 0 7, 20.65, 22.7
0 0 9, 22.51, 55.5
1 2 2, 29.59, 100.0
3 -1 7, 34.18, 30.6
3 1 2, 40.43, 45.9
3 -2 11, 40.58, 28.6
1 0 16, 42.19, 43.6
4 -3 7, 44.04, 27.8
2 2 9, 45.03, 62.6

Entry 3:
Simulated powder diffractogram of NdY2Zn4Si4 for Cu Kα X-rays, from a GGA-PBE-relaxed structure.
Neutral-atom scattering factors, no anomalous dispersion.

Structural model:
Cell lengths 4.0729, 4.1169, 24.6992 Å; angles 90.00, 90.00, 90.00 degrees
Space group Immm (No. 71)
One atom of each set of equivalent atoms:
Nd 0.0000 0.0000 0.0000
Y 0.0000 0.5000 0.1439
Zn 0.0000 0.0000 0.2504
Zn 0.0000 0.5000 0.4051
Si 0.0000 0.0000 0.4520
Si 0.0000 0.5000 0.3100

The 10 most intense peaks (2θ = 15–90°), by angle:
hkl, 2theta, I (rel.)
0 1 3, 24.17, 13.5
0 0 8, 28.92, 10.8
1 0 7, 33.61, 33.9
1 1 4, 34.20, 100.0
0 2 0, 43.99, 23.0
2 0 0, 44.49, 19.1
0 1 11, 46.04, 19.6
1 2 7, 56.47, 14.8
2 2 0, 64.35, 14.2
2 1 11, 65.95, 13.0

Entry 4:
Simulated powder diffractogram of Cd2AgAu for Cu Kα X-rays, from a GGA-PBE-relaxed structure.
Neutral-atom scattering factors, no anomalous dispersion.

Structural model:
Cell lengths 6.7194, 7.4539, 6.1300 Å; angles 90.00, 90.00, 90.00 degrees
Space group Imma (No. 74)
One atom of each set of equivalent atoms:
Cd 0.2500 0.0007 0.2500
Ag 0.0000 0.2500 0.5007
Au 0.0000 0.2500 0.9993

The 10 most intense peaks (2θ = 15–90°), by angle:
hkl, 2theta, I (rel.)
2 2 0, 35.99, 100.0
0 2 2, 38.01, 85.9
2 0 2, 39.81, 75.4
0 4 0, 48.87, 20.6
4 0 0, 54.64, 14.7
0 0 4, 60.41, 11.3
2 4 2, 64.79, 34.6
4 2 2, 68.49, 29.3
2 2 4, 72.36, 25.0
4 4 0, 76.32, 10.8

Entry 5:
Simulated powder diffractogram of Pr2NdGdZn12Ge6 for Cu Kα X-rays, from a GGA-PBE-relaxed structure.
Neutral-atom scattering factors, no anomalous dispersion.

Structural model:
Cell lengths 7.6552, 4.0996, 13.2619 Å; angles 90.00, 90.00, 90.00 degrees
Space group Pm (No. 6)
One atom of each set of equivalent atoms:
Pr 0.0000 0.0000 0.0000
Pr 0.4999 0.0000 0.5001
Nd 0.0000 0.0000 0.3333
Gd 0.4999 0.0000 0.8334
Zn 0.0942 0.0000 0.5723
Zn 0.0948 0.0000 0.7611
Zn 0.2899 0.5000 0.6669
Zn 0.3111 0.0000 0.1667
Zn 0.3552 0.5000 0.0216
Zn 0.3549 0.5000 0.3116
Zn 0.5941 0.0000 0.0721
Zn 0.5944 0.0000 0.2611
Zn 0.7897 0.5000 0.1667
Zn 0.8109 0.0000 0.6669
Zn 0.8551 0.5000 0.5218
Zn 0.8546 0.5000 0.8116
Ge 0.1188 0.5000 0.1669
Ge 0.1902 0.5000 0.4761
Ge 0.1917 0.5000 0.8571
Ge 0.6184 0.5000 0.6673
Ge 0.6897 0.5000 0.9756
Ge 0.6907 0.5000 0.3572

The 10 most intense peaks (2θ = 15–90°), by angle:
hkl, 2theta, I (rel.)
2 1 0, 31.99, 100.0
2 1 2, 34.80, 14.0
2 0 4, 35.83, 21.5
3 0 3, 40.83, 32.9
2 1 4, 42.27, 51.2
0 2 0, 44.18, 24.0
4 0 2, 49.57, 12.9
4 1 0, 52.78, 14.2
3 2 3, 61.72, 19.0
5 1 3, 68.81, 21.3

Entry 6:
Simulated powder diffractogram of Zr4N5 for Cu Kα X-rays, from a GGA-PBE-relaxed structure.
Neutral-atom scattering factors, no anomalous dispersion.

Structural model:
Cell lengths 10.7852, 3.2290, 8.1265 Å; angles 90.00, 122.20, 90.00 degrees
Space group C2/m (No. 12)
One atom of each set of equivalent atoms:
Zr 0.0867 0.0000 0.3848
Zr 0.2291 0.5000 0.8162
N 0.0000 0.5000 0.5000
N 0.1212 0.0000 0.8790
N 0.1980 0.5000 0.3109

The 10 most intense peaks (2θ = 15–90°), by angle:
hkl, 2theta, I (rel.)
2 0 1, 28.67, 27.2
1 1 0, 29.34, 21.5
2 0 -3, 33.09, 42.3
1 1 1, 34.24, 99.2
3 1 -2, 38.91, 100.0
2 0 2, 40.39, 39.7
5 1 -1, 52.77, 18.9
1 1 -4, 56.61, 30.7
5 1 0, 58.05, 18.8
4 0 -6, 69.49, 18.4

Entry 7:
Simulated powder diffractogram of Sm4CI4Cl for Cu Kα X-rays, from a GGA-PBE-relaxed structure.
Neutral-atom scattering factors, no anomalous dispersion.

Structural model:
Cell lengths 19.3361, 3.9850, 8.3950 Å; angles 90.00, 102.13, 90.00 degrees
Space group C2/m (No. 12)
One atom of each set of equivalent atoms:
Sm 0.0017 0.0000 0.2945
Sm 0.1311 0.5000 0.5689
C 0.0000 0.5000 0.5000
I 0.1620 0.0000 0.8572
I 0.1697 0.0000 0.3150
Cl 0.0000 0.5000 0.0000

The 10 most intense peaks (2θ = 15–90°), by angle:
hkl, 2theta, I (rel.)
1 1 0, 22.81, 16.5
6 0 0, 28.33, 44.7
3 1 1, 29.78, 17.8
1 1 -2, 30.94, 100.0
4 0 2, 31.74, 14.8
5 1 0, 32.65, 33.1
2 0 3, 36.05, 15.0
5 1 2, 42.34, 27.0
7 1 -2, 42.55, 23.8
0 2 0, 45.52, 19.1

Entry 8:
Simulated powder diffractogram of TmBe4Cu8 for Cu Kα X-rays, from a GGA-PBE-relaxed structure.
Neutral-atom scattering factors, no anomalous dispersion.

Structural model:
Cell lengths 8.1341, 8.1341, 4.5643 Å; angles 90.00, 90.00, 90.00 degrees
Space group I4/mmm (No. 139)
One atom of each set of equivalent atoms:
Tm 0.0000 0.0000 0.0000
Be 0.2500 0.2500 0.2500
Cu 0.0000 0.2221 0.5000
Cu 0.0000 0.3488 0.0000

The 10 most intense peaks (2θ = 15–90°), by angle:
hkl, 2theta, I (rel.)
2 0 0, 21.85, 46.8
2 1 1, 31.45, 28.4
3 0 1, 38.62, 50.9
0 0 2, 39.49, 42.5
4 0 0, 44.56, 26.5
3 2 1, 44.81, 100.0
2 0 2, 45.58, 19.8
4 0 2, 61.03, 16.1
3 2 3, 75.35, 19.9
6 3 1, 82.27, 22.9